Record 1
Starting from the GGA+U geometry in the Materials Project, the powder diffraction line list of InCuMo2O8 was simulated for Cu Kα X-rays.
Lines closer than 0.1° are merged.

Structural model:
a = 7.6068 Å, b = 7.6068 Å, c = 5.0516 Å
α = 90.71°, β = 90.71°, γ = 100.75°
Element x y z (fractional)
In (0.1550, 0.8450, 0.7500)
In (0.8450, 0.1550, 0.2500)
Cu (0.3414, 0.6586, 0.2500)
Cu (0.6586, 0.3414, 0.7500)
Mo (0.1681, 0.3490, 0.7399)
Mo (0.3490, 0.1682, 0.2399)
Mo (0.6510, 0.8318, 0.7601)
Mo (0.8318, 0.6510, 0.2601)
O (0.0590, 0.6856, 0.4002)
O (0.0937, 0.1929, 0.0463)
O (0.1913, 0.5684, 0.8980)
O (0.1929, 0.0937, 0.5463)
O (0.3042, 0.4107, 0.4293)
O (0.3144, 0.9410, 0.0998)
O (0.4107, 0.3042, 0.9293)
O (0.4316, 0.8087, 0.6020)
O (0.5684, 0.1913, 0.3980)
O (0.5893, 0.6958, 0.0707)
O (0.6856, 0.0590, 0.9002)
O (0.6958, 0.5893, 0.5707)
O (0.8071, 0.9063, 0.4537)
O (0.8087, 0.4316, 0.1020)
O (0.9063, 0.8071, 0.9537)
O (0.9410, 0.3144, 0.5998)

Principal peaks in the range 10 to 90 degrees two-theta, low angle first:
23.82°, d 3.736, I 40
29.53°, d 3.025, I 100
29.96°, d 2.983, I 96
30.51°, d 2.930, I 22
35.42°, d 2.534, I 25
35.55°, d 2.525, I 25
50.37°, d 1.812, I 24
51.76°, d 1.766, I 16
51.94°, d 1.761, I 16
52.48°, d 1.744, I 20

---

Record 2
Starting from the GGA+U geometry in the Materials Project, the powder diffraction line list of KLaCuWO6 was simulated for Cu Kα X-rays.
Lines closer than 0.1° are merged.

Structural model:
a = 5.6516 Å, b = 5.6516 Å, c = 5.6516 Å
α = 60.00°, β = 60.00°, γ = 60.00°
Element x y z (fractional)
K (0.0000, 0.0000, 0.0000)
La (0.5000, 0.5000, 0.5000)
Cu (0.7500, 0.7500, 0.7500)
W (0.2500, 0.2500, 0.2500)
O (0.0074, 0.0074, 0.4926)
O (0.0074, 0.4926, 0.0074)
O (0.0074, 0.4926, 0.4926)
O (0.4926, 0.0074, 0.0074)
O (0.4926, 0.0074, 0.4926)
O (0.4926, 0.4926, 0.0074)

Principal peaks in the range 10 to 90 degrees two-theta, low angle first:
19.23°, d 4.614, I 32
22.25°, d 3.996, I 9
31.66°, d 2.826, I 100
37.31°, d 2.410, I 18
45.39°, d 1.998, I 32
49.72°, d 1.834, I 8
56.40°, d 1.631, I 39
60.16°, d 1.538, I 7
66.14°, d 1.413, I 19
75.18°, d 1.264, I 17

---

Record 3
Starting from the GGA+U geometry in the Materials Project, the powder diffraction line list of KMgV3Cu4O13 was simulated for Cu Kα X-rays.
Lines closer than 0.1° are merged.

Structural model:
a = 8.3761 Å, b = 6.0840 Å, c = 10.9729 Å
α = 90.00°, β = 98.29°, γ = 90.00°
Element x y z (fractional)
K (0.0185, 0.2500, 0.4002)
K (0.9815, 0.7500, 0.5998)
Mg (0.3082, 0.2500, 0.6447)
Mg (0.6918, 0.7500, 0.3553)
V (0.0310, 0.7500, 0.2094)
V (0.3236, 0.7500, 0.8702)
V (0.3666, 0.7500, 0.5032)
V (0.6334, 0.2500, 0.4968)
V (0.6764, 0.2500, 0.1298)
V (0.9690, 0.2500, 0.7906)
Cu (0.0985, 0.2500, 0.1047)
Cu (0.3557, 0.2500, 0.9428)
Cu (0.3926, 0.0013, 0.2310)
Cu (0.3926, 0.4987, 0.2310)
Cu (0.6074, 0.5013, 0.7690)
Cu (0.6074, 0.9987, 0.7690)
Cu (0.6443, 0.7500, 0.0572)
Cu (0.9015, 0.7500, 0.8953)
O (0.0714, 0.2500, 0.6680)
O (0.1154, 0.2500, 0.9254)
O (0.1204, 0.7500, 0.8662)
O (0.1585, 0.5164, 0.2211)
O (0.1585, 0.9836, 0.2211)
O (0.2567, 0.5197, 0.5289)
O (0.2567, 0.9803, 0.5289)
O (0.3412, 0.2500, 0.1215)
O (0.3786, 0.0032, 0.7984)
O (0.3786, 0.4968, 0.7984)
O (0.4094, 0.7500, 0.0235)
O (0.4364, 0.7500, 0.3423)
O (0.4656, 0.2500, 0.3902)
O (0.5344, 0.7500, 0.6098)
O (0.5636, 0.2500, 0.6577)
O (0.5906, 0.2500, 0.9765)
O (0.6214, 0.5032, 0.2016)
O (0.6214, 0.9968, 0.2016)
O (0.6588, 0.7500, 0.8785)
O (0.7433, 0.0197, 0.4711)
O (0.7433, 0.4803, 0.4711)
O (0.8415, 0.0164, 0.7789)
O (0.8415, 0.4836, 0.7789)
O (0.8796, 0.2500, 0.1338)
O (0.8846, 0.7500, 0.0746)
O (0.9286, 0.7500, 0.3320)

Principal peaks in the range 10 to 90 degrees two-theta, low angle first:
10.67°, d 8.289, I 71
24.60°, d 3.619, I 37
29.36°, d 3.042, I 45
31.96°, d 2.800, I 87
32.40°, d 2.763, I 45
33.79°, d 2.653, I 100
34.76°, d 2.581, I 62
38.31°, d 2.349, I 37
44.75°, d 2.025, I 47
60.91°, d 1.521, I 39

---

Record 4
Starting from the GGA+U geometry in the Materials Project, the powder diffraction line list of LaMn4Cu3O12 was simulated for Cu Kα X-rays.
Lines closer than 0.1° are merged.

Structural model:
a = 6.4756 Å, b = 6.4756 Å, c = 6.4756 Å
α = 109.54°, β = 109.45°, γ = 109.43°
Element x y z (fractional)
La (0.0000, 0.0000, 0.0000)
Mn (0.0000, 0.0000, 0.5000)
Mn (0.0000, 0.5000, 0.0000)
Mn (0.5000, 0.0000, 0.0000)
Mn (0.5000, 0.5000, 0.5000)
Cu (0.0000, 0.5000, 0.5000)
Cu (0.5000, 0.0000, 0.5000)
Cu (0.5000, 0.5000, 0.0000)
O (0.1371, 0.3083, 0.8288)
O (0.1715, 0.4796, 0.3081)
O (0.1715, 0.8634, 0.6919)
O (0.3084, 0.1713, 0.4796)
O (0.3084, 0.8287, 0.1371)
O (0.4795, 0.3083, 0.1712)
O (0.5205, 0.6917, 0.8288)
O (0.6916, 0.1713, 0.8629)
O (0.6916, 0.8287, 0.5204)
O (0.8285, 0.1366, 0.3081)
O (0.8285, 0.5204, 0.6919)
O (0.8629, 0.6917, 0.1712)

Principal peaks in the range 10 to 90 degrees two-theta, low angle first:
16.77°, d 5.287, I 9
33.91°, d 2.644, I 100
38.06°, d 2.365, I 9
41.85°, d 2.159, I 6
45.38°, d 1.998, I 8
48.71°, d 1.869, I 25
60.67°, d 1.526, I 48
71.36°, d 1.322, I 12
81.36°, d 1.183, I 11
81.47°, d 1.181, I 5